Computed X-ray powder pattern
Compound: RbFeCuF6
Radiation: Cu Kα (λ = 1.5418 Å)
Structure: a structure optimized by DFT (GGA+U)
Intensities are scaled so that the largest is 100.

Structural model:
```
RbFeCuF6
1.0
-3.5522 3.7977 5.2952
3.5522 -3.7977 5.2952
3.5522 3.7977 -5.2952
Rb Fe Cu F
2 2 2 12
direct
0.3682 0.1182 0.2500
0.6318 0.8818 0.7500
0.0000 0.5000 0.5000
0.5000 0.5000 0.0000
0.0000 0.0000 0.5000
0.0000 0.5000 0.0000
0.0689 0.8189 0.2500
0.0748 0.4238 0.2554
0.0748 0.8194 0.6510
0.3128 0.5628 0.7500
0.3316 0.1806 0.7554
0.3316 0.5762 0.1510
0.6684 0.4238 0.8490
0.6684 0.8194 0.2446
0.6872 0.4372 0.2500
0.9252 0.1806 0.3490
0.9252 0.5762 0.7446
0.9311 0.1811 0.7500
```

Largest 6 diffraction maxima, by angle, 2θ = 10–90°:
two_theta, I/Imax
24.01, 22
27.91, 100
28.23, 27
28.98, 82
30.30, 27
49.17, 52